Entry 1:
Diffraction record for AcS2Cl2O6. The X-ray powder pattern is simulated, not measured: it uses a DFT-relaxed cell (PBE, Alexandria) and Cu Ka.
Lines closer than 0.1° are merged.

Crystal structure
Unit cell a=6.4628 b=6.4628 c=6.3062 alpha=90.00 beta=90.00 gamma=120.00
Space group P-3m1 (No. 164)
One atom of each set of equivalent atoms:
Ac: 0.0000 0.0000 0.0000 (multiplicity 1)
S: 0.3333 0.6667 0.8981 (multiplicity 2)
Cl: 0.3333 0.6667 0.2666 (multiplicity 2)
O: 0.2065 0.4130 0.8280 (multiplicity 6)

Peak list (8 most intense, 2θ from 15° to 90°, in order of rising 2θ)
15.83 deg, d 5.597, rel. 46, hkl 1 0 0
21.22 deg, d 4.186, rel. 100, hkl 1 0 1
27.60 deg, d 3.231, rel. 89, hkl 1 1 0
31.10 deg, d 2.876, rel. 73, hkl 1 1 1
32.59 deg, d 2.747, rel. 72, hkl 1 0 2
35.08 deg, d 2.558, rel. 31, hkl 2 0 1
43.23 deg, d 2.093, rel. 32, hkl 0 2 2
45.21 deg, d 2.006, rel. 40, hkl 1 2 1

---

Entry 2:
Diffraction record for AcSe2Cl2O6. The X-ray powder pattern is simulated, not measured: it uses a DFT-relaxed cell (PBE, Alexandria) and Cu Ka.
Lines closer than 0.1° are merged.

Crystal structure
Unit cell a=6.3513 b=6.3513 c=7.5426 alpha=90.00 beta=90.00 gamma=120.00
Space group P-3m1 (No. 164)
One atom of each set of equivalent atoms:
Ac: 0.0000 0.0000 0.0000 (multiplicity 1)
Se: 0.3333 0.6667 0.7487 (multiplicity 2)
Cl: 0.3333 0.6667 0.4353 (multiplicity 2)
O: 0.1895 0.3791 0.8240 (multiplicity 6)

Peak list (8 most intense, 2θ from 15° to 90°, in order of rising 2θ)
19.98 deg, d 4.444, rel. 100, hkl 1 0 1
28.10 deg, d 3.176, rel. 45, hkl 1 1 0
28.70 deg, d 3.110, rel. 38, hkl 1 0 2
34.72 deg, d 2.584, rel. 16, hkl 0 2 1
39.41 deg, d 2.287, rel. 19, hkl 0 1 3
40.60 deg, d 2.222, rel. 17, hkl 2 0 2
45.24 deg, d 2.004, rel. 24, hkl 2 1 1
50.10 deg, d 1.821, rel. 14, hkl 2 1 2

---

Entry 3:
Diffraction record for AcTlCl2O. The X-ray powder pattern is simulated, not measured: it uses a DFT-relaxed cell (PBE, Alexandria) and Cu Ka.
Lines closer than 0.1° are merged.

Crystal structure
Unit cell a=4.250 b=4.250 c=17.017 alpha=90.00 beta=90.00 gamma=90.00
Space group P4/nmm (No. 129, origin choice 2)
One atom of each set of equivalent atoms:
Ac: 0.250 0.250 0.075 (multiplicity 2)
Tl: 0.250 0.250 0.610 (multiplicity 2)
Cl: 0.250 0.250 0.428 (multiplicity 2)
Cl: 0.250 0.250 0.841 (multiplicity 2)
O: 0.250 0.750 0.000 (multiplicity 2)

Peak list (8 most intense, 2θ from 15° to 90°, in order of rising 2θ)
20.88 deg, d 4.254, rel. 23, hkl 0 0 4
23.40 deg, d 3.802, rel. 91, hkl 1 0 2
29.72 deg, d 3.006, rel. 100, hkl 1 1 0
33.74 deg, d 2.657, rel. 32, hkl 1 0 5
36.61 deg, d 2.455, rel. 28, hkl 1 1 4
42.54 deg, d 2.125, rel. 26, hkl 2 0 0
43.90 deg, d 2.062, rel. 27, hkl 1 1 6
49.11 deg, d 1.855, rel. 28, hkl 2 1 2